PmY2Sc4: computed X-ray diffraction stick pattern (a wavelength of 1.5418 Å), based on the PBE geometry in Alexandria.
Peak positions follow from Bragg's law for the DFT cell and can differ from measured ones.

Structural model:
```
data_PmY2Sc4
_chemical_formula_sum 'Pm2 Y4 Sc8'
_space_group_name_H-M_alt 'P 1'
_space_group_IT_number 1
_space_group_name_Hall 'P 1'
_cell_length_a 6.7828
_cell_length_b 8.1386
_cell_length_c 8.4103
_cell_angle_alpha 114.06
_cell_angle_beta 101.61
_cell_angle_gamma 102.00
loop_
_atom_site_label
_atom_site_type_symbol
_atom_site_fract_x
_atom_site_fract_y
_atom_site_fract_z
_atom_site_occupancy
Pm1 Pm 0.0000 0.0000 0.0000 1
Pm2 Pm 0.4150 0.4893 0.1691 1
Y1 Y 0.2033 0.3454 0.4675 1
Y2 Y 0.5008 0.0047 0.0042 1
Y3 Y 0.7044 0.3515 0.4712 1
Y4 Y 0.9094 0.4755 0.1657 1
Sc1 Sc 0.0903 0.7569 0.6028 1
Sc2 Sc 0.1111 0.5739 0.8704 1
Sc3 Sc 0.2276 0.1722 0.7399 1
Sc4 Sc 0.3150 0.9119 0.3515 1
Sc5 Sc 0.5868 0.7557 0.6032 1
Sc6 Sc 0.6100 0.5753 0.8711 1
Sc7 Sc 0.7252 0.1686 0.7353 1
Sc8 Sc 0.8159 0.9126 0.3516 1
```

The 10 most intense peaks (5 to 70 degrees two-theta), in order of rising 2θ:
d 3.515, rel. 15
d 2.846, rel. 46
d 2.735, rel. 60
d 2.719, rel. 48
d 2.706, rel. 42
d 2.599, rel. 100
d 2.072, rel. 13
d 1.875, rel. 16
d 1.804, rel. 21
d 1.519, rel. 16

=====

Pm7YSc4: computed X-ray diffraction stick pattern (a wavelength of 1.5418 Å), based on the PBE geometry in Alexandria.
Peak positions follow from Bragg's law for the DFT cell and can differ from measured ones.

Structural model:
```
data_Pm7YSc4
_chemical_formula_sum 'Pm7 Y1 Sc4'
_space_group_name_H-M_alt 'P -1'
_space_group_IT_number 2
_space_group_name_Hall '-P 1'
_cell_length_a 6.1481
_cell_length_b 7.0951
_cell_length_c 8.7039
_cell_angle_alpha 90.00
_cell_angle_beta 103.65
_cell_angle_gamma 90.04
loop_
_atom_site_label
_atom_site_type_symbol
_atom_site_fract_x
_atom_site_fract_y
_atom_site_fract_z
_atom_site_occupancy
Pm1 Pm 0.0000 0.0000 0.0000 1
Pm2 Pm 0.2244 0.4993 0.6637 1
Pm3 Pm 0.2882 0.7557 0.3412 1
Pm4 Pm 0.4975 0.2419 0.0094 1
Y1 Y 0.0000 0.5000 0.0000 1
Sc1 Sc 0.2130 0.0011 0.6592 1
Sc2 Sc 0.2711 0.2411 0.3369 1
```

The 10 most intense peaks (5 to 70 degrees two-theta), in order of rising 2θ:
d 3.051, rel. 49
d 2.819, rel. 49
d 2.766, rel. 100
d 2.629, rel. 95
d 2.207, rel. 15
d 1.957, rel. 17
d 1.774, rel. 37
d 1.648, rel. 20
d 1.561, rel. 20
d 1.502, rel. 42

=====

Pm4Y4Sc: computed X-ray diffraction stick pattern (a wavelength of 1.5418 Å), based on the PBE geometry in Alexandria.
Peak positions follow from Bragg's law for the DFT cell and can differ from measured ones.

Structural model:
```
data_Pm4Y4Sc
_chemical_formula_sum 'Pm8 Y8 Sc2'
_space_group_name_H-M_alt 'I 4/m m m'
_space_group_IT_number 139
_space_group_name_Hall '-I 4 2'
_cell_length_a 10.7306
_cell_length_b 10.7306
_cell_length_c 5.0498
_cell_angle_alpha 90.00
_cell_angle_beta 90.00
_cell_angle_gamma 90.00
loop_
_atom_site_label
_atom_site_type_symbol
_atom_site_fract_x
_atom_site_fract_y
_atom_site_fract_z
_atom_site_occupancy
Pm1 Pm 0.0000 0.3309 0.0000 1
Y1 Y 0.1638 0.1638 0.5000 1
Sc1 Sc 0.0000 0.0000 0.0000 1
```

The 10 most intense peaks (5 to 70 degrees two-theta), in order of rising 2θ:
d 7.588, rel. 9
d 3.794, rel. 3
d 3.479, rel. 8
d 2.919, rel. 100
d 2.528, rel. 50
d 2.398, rel. 2
d 2.103, rel. 3
d 1.787, rel. 35
d 1.524, rel. 41
d 1.459, rel. 12

=====

Pm8YSc3: computed X-ray diffraction stick pattern (a wavelength of 1.5418 Å), based on the PBE geometry in Alexandria.
Peak positions follow from Bragg's law for the DFT cell and can differ from measured ones.

Structural model:
```
data_Pm8YSc3
_chemical_formula_sum 'Pm8 Y1 Sc3'
_space_group_name_H-M_alt 'P 1'
_space_group_IT_number 1
_space_group_name_Hall 'P 1'
_cell_length_a 6.1591
_cell_length_b 7.9136
_cell_length_c 8.6674
_cell_angle_alpha 111.17
_cell_angle_beta 90.14
_cell_angle_gamma 105.16
loop_
_atom_site_label
_atom_site_type_symbol
_atom_site_fract_x
_atom_site_fract_y
_atom_site_fract_z
_atom_site_occupancy
Pm1 Pm 0.0000 0.0000 0.0000 1
Pm2 Pm 0.0759 0.7544 0.5783 1
Pm3 Pm 0.1610 0.5162 0.1651 1
Pm4 Pm 0.4197 0.7558 0.9176 1
Pm5 Pm 0.5025 0.5035 0.4946 1
Pm6 Pm 0.5831 0.2633 0.0814 1
Pm7 Pm 0.6597 0.0076 0.6595 1
Pm8 Pm 0.9127 0.2472 0.4123 1
Y1 Y 0.2481 0.2581 0.7456 1
Sc1 Sc 0.3296 0.0019 0.3290 1
Sc2 Sc 0.7485 0.7585 0.2456 1
Sc3 Sc 0.8314 0.5080 0.8334 1
```

The 10 most intense peaks (5 to 70 degrees two-theta), in order of rising 2θ:
d 6.703, rel. 14
d 2.900, rel. 100
d 2.888, rel. 99
d 2.513, rel. 34
d 2.503, rel. 66
d 1.774, rel. 23
d 1.769, rel. 35
d 1.517, rel. 14
d 1.512, rel. 48
d 1.507, rel. 13

=====

Pm8YSc2: computed X-ray diffraction stick pattern (a wavelength of 1.5418 Å), based on the PBE geometry in Alexandria.
Peak positions follow from Bragg's law for the DFT cell and can differ from measured ones.

Structural model:
```
data_Pm8YSc2
_chemical_formula_sum 'Pm16 Y2 Sc4'
_space_group_name_H-M_alt 'I m m m'
_space_group_IT_number 71
_space_group_name_Hall '-I 2 2'
_cell_length_a 5.5054
_cell_length_b 8.4390
_cell_length_c 15.5869
_cell_angle_alpha 90.00
_cell_angle_beta 90.00
_cell_angle_gamma 90.00
loop_
_atom_site_label
_atom_site_type_symbol
_atom_site_fract_x
_atom_site_fract_y
_atom_site_fract_z
_atom_site_occupancy
Pm1 Pm 0.0000 0.0000 0.1602 1
Pm2 Pm 0.0000 0.2014 0.3563 1
Pm3 Pm 0.0000 0.3030 0.0000 1
Y1 Y 0.0000 0.5000 0.5000 1
Sc1 Sc 0.0000 0.5000 0.2023 1
```

The 10 most intense peaks (5 to 70 degrees two-theta), in order of rising 2θ:
d 3.968, rel. 15
d 2.976, rel. 29
d 2.815, rel. 100
d 2.768, rel. 22
d 2.753, rel. 34
d 2.598, rel. 18
d 1.952, rel. 16
d 1.889, rel. 14
d 1.601, rel. 18
d 1.491, rel. 15

=====

Pm4Y5Sc2: computed X-ray diffraction stick pattern (a wavelength of 1.5418 Å), based on the PBE geometry in Alexandria.
Peak positions follow from Bragg's law for the DFT cell and can differ from measured ones.

Structural model:
```
data_Pm4Y5Sc2
_chemical_formula_sum 'Pm8 Y10 Sc4'
_space_group_name_H-M_alt 'C 1 2/m 1'
_space_group_IT_number 12
_space_group_name_Hall '-C 2y'
_cell_length_a 18.5011
_cell_length_b 5.4139
_cell_length_c 7.0046
_cell_angle_alpha 90.00
_cell_angle_beta 95.92
_cell_angle_gamma 90.00
loop_
_atom_site_label
_atom_site_type_symbol
_atom_site_fract_x
_atom_site_fract_y
_atom_site_fract_z
_atom_site_occupancy
Pm1 Pm 0.0596 0.0000 0.1988 1
Pm2 Pm 0.1818 0.5000 0.3751 1
Y1 Y 0.0000 0.5000 0.5000 1
Y2 Y 0.1284 0.0000 0.6943 1
Y3 Y 0.2503 0.0000 0.1351 1
Sc1 Sc 0.0760 0.5000 0.9383 1
```

The 10 most intense peaks (5 to 70 degrees two-theta), in order of rising 2θ:
d 3.044, rel. 23
d 2.927, rel. 17
d 2.881, rel. 88
d 2.855, rel. 100
d 2.707, rel. 93
d 2.165, rel. 16
d 1.914, rel. 27
d 1.691, rel. 15
d 1.594, rel. 15
d 1.590, rel. 17

=====

Pm4YSc2: computed X-ray diffraction stick pattern (a wavelength of 1.5418 Å), based on the PBE geometry in Alexandria.
Peak positions follow from Bragg's law for the DFT cell and can differ from measured ones.

Structural model:
```
data_Pm4YSc2
_chemical_formula_sum 'Pm16 Y4 Sc8'
_space_group_name_H-M_alt 'C 1 2/c 1'
_space_group_IT_number 15
_space_group_name_Hall '-C 2yc'
_cell_length_a 5.6066
_cell_length_b 11.4061
_cell_length_c 13.7228
_cell_angle_alpha 90.00
_cell_angle_beta 90.07
_cell_angle_gamma 90.00
loop_
_atom_site_label
_atom_site_type_symbol
_atom_site_fract_x
_atom_site_fract_y
_atom_site_fract_z
_atom_site_occupancy
Pm1 Pm 0.9999 0.9997 0.1080 1
Pm2 Pm 0.0000 0.3370 0.9998 1
Y1 Y 0.0000 0.4995 0.2500 1
Sc1 Sc 0.0000 0.2151 0.2500 1
Sc2 Sc 0.0000 0.2160 0.7500 1
```

The 10 most intense peaks (5 to 70 degrees two-theta), in order of rising 2θ:
d 6.861, rel. 22
d 3.147, rel. 50
d 2.940, rel. 33
d 2.860, rel. 100
d 2.835, rel. 94
d 2.803, rel. 56
d 2.029, rel. 23
d 1.629, rel. 18
d 1.624, rel. 18
d 1.424, rel. 18

=====

Pm3Y5Sc2: computed X-ray diffraction stick pattern (a wavelength of 1.5418 Å), based on the PBE geometry in Alexandria.
Peak positions follow from Bragg's law for the DFT cell and can differ from measured ones.

Structural model:
```
data_Pm3Y5Sc2
_chemical_formula_sum 'Pm6 Y10 Sc4'
_space_group_name_H-M_alt 'P -1'
_space_group_IT_number 2
_space_group_name_Hall '-P 1'
_cell_length_a 9.3309
_cell_length_b 9.3395
_cell_length_c 9.3604
_cell_angle_alpha 106.50
_cell_angle_beta 106.53
_cell_angle_gamma 115.43
loop_
_atom_site_label
_atom_site_type_symbol
_atom_site_fract_x
_atom_site_fract_y
_atom_site_fract_z
_atom_site_occupancy
Pm1 Pm 0.0796 0.0272 0.3497 1
Pm2 Pm 0.2736 0.4264 0.9518 1
Pm3 Pm 0.3227 0.7711 0.8500 1
Y1 Y 0.0225 0.6754 0.4480 1
Y2 Y 0.1313 0.3811 0.2502 1
Y3 Y 0.2278 0.0750 0.0528 1
Y4 Y 0.3802 0.1291 0.7497 1
Y5 Y 0.4739 0.8221 0.5482 1
Sc1 Sc 0.1715 0.7218 0.1480 1
Sc2 Sc 0.4267 0.4759 0.6455 1
```

The 10 most intense peaks (5 to 70 degrees two-theta), in order of rising 2θ:
d 4.470, rel. 13
d 2.885, rel. 100
d 2.506, rel. 17
d 2.495, rel. 33
d 1.769, rel. 12
d 1.766, rel. 17
d 1.763, rel. 6
d 1.510, rel. 10
d 1.507, rel. 7
d 1.505, rel. 20

=====

Pm4Y2Sc: computed X-ray diffraction stick pattern (a wavelength of 1.5418 Å), based on the PBE geometry in Alexandria.
Peak positions follow from Bragg's law for the DFT cell and can differ from measured ones.

Structural model:
```
data_Pm4Y2Sc
_chemical_formula_sum 'Pm16 Y8 Sc4'
_space_group_name_H-M_alt 'P b c a'
_space_group_IT_number 61
_space_group_name_Hall '-P 2ac 2ab'
_cell_length_a 5.4878
_cell_length_b 12.0457
_cell_length_c 13.9261
_cell_angle_alpha 90.00
_cell_angle_beta 90.00
_cell_angle_gamma 90.00
loop_
_atom_site_label
_atom_site_type_symbol
_atom_site_fract_x
_atom_site_fract_y
_atom_site_fract_z
_atom_site_occupancy
Pm1 Pm 0.0012 0.1349 0.1794 1
Pm2 Pm 0.0010 0.2403 0.4236 1
Y1 Y 0.0000 0.0699 0.6560 1
Sc1 Sc 0.0000 0.0000 0.0000 1
```

The 10 most intense peaks (5 to 70 degrees two-theta), in order of rising 2θ:
d 5.528, rel. 20
d 2.938, rel. 100
d 2.856, rel. 89
d 2.764, rel. 22
d 2.744, rel. 45
d 2.657, rel. 27
d 1.947, rel. 16
d 1.619, rel. 17
d 1.605, rel. 16
d 1.527, rel. 12

=====

Pm2Y8Sc3: computed X-ray diffraction stick pattern (a wavelength of 1.5418 Å), based on the PBE geometry in Alexandria.
Peak positions follow from Bragg's law for the DFT cell and can differ from measured ones.

Structural model:
```
data_Pm2Y8Sc3
_chemical_formula_sum 'Pm4 Y16 Sc6'
_space_group_name_H-M_alt 'C 1 2/m 1'
_space_group_IT_number 12
_space_group_name_Hall '-C 2y'
_cell_length_a 13.2706
_cell_length_b 11.2509
_cell_length_c 6.0012
_cell_angle_alpha 90.00
_cell_angle_beta 115.10
_cell_angle_gamma 90.00
loop_
_atom_site_label
_atom_site_type_symbol
_atom_site_fract_x
_atom_site_fract_y
_atom_site_fract_z
_atom_site_occupancy
Pm1 Pm 0.1790 0.0000 0.3460 1
Y1 Y 0.0886 0.0000 0.7816 1
Y2 Y 0.1356 0.5000 0.1130 1
Y3 Y 0.1567 0.2686 0.6530 1
Sc1 Sc 0.0000 0.2356 0.0000 1
Sc2 Sc 0.0000 0.5000 0.5000 1
```

The 10 most intense peaks (5 to 70 degrees two-theta), in order of rising 2θ:
d 5.625, rel. 12
d 3.858, rel. 13
d 3.002, rel. 14
d 2.897, rel. 19
d 2.837, rel. 100
d 2.813, rel. 40
d 2.645, rel. 36
d 2.310, rel. 14
d 2.202, rel. 15
d 1.628, rel. 10

=====

Pm2Y2Sc3: computed X-ray diffraction stick pattern (a wavelength of 1.5418 Å), based on the PBE geometry in Alexandria.
Peak positions follow from Bragg's law for the DFT cell and can differ from measured ones.

Structural model:
```
data_Pm2Y2Sc3
_chemical_formula_sum 'Pm4 Y4 Sc6'
_space_group_name_H-M_alt 'P b a m'
_space_group_IT_number 55
_space_group_name_Hall '-P 2 2ab'
_cell_length_a 6.4468
_cell_length_b 12.0497
_cell_length_c 5.3955
_cell_angle_alpha 90.00
_cell_angle_beta 90.00
_cell_angle_gamma 90.00
loop_
_atom_site_label
_atom_site_type_symbol
_atom_site_fract_x
_atom_site_fract_y
_atom_site_fract_z
_atom_site_occupancy
Pm1 Pm 0.1119 0.1963 0.0000 1
Y1 Y 0.0292 0.6452 0.5000 1
Sc1 Sc 0.0000 0.0000 0.5000 1
Sc2 Sc 0.2203 0.4685 0.0000 1
```

The 10 most intense peaks (5 to 70 degrees two-theta), in order of rising 2θ:
d 6.025, rel. 17
d 5.396, rel. 17
d 3.913, rel. 19
d 3.114, rel. 19
d 2.882, rel. 100
d 2.767, rel. 16
d 2.729, rel. 18
d 2.697, rel. 99
d 2.435, rel. 20
d 1.416, rel. 17

=====

Pm8Y2Sc3: computed X-ray diffraction stick pattern (a wavelength of 1.5418 Å), based on the PBE geometry in Alexandria.
Peak positions follow from Bragg's law for the DFT cell and can differ from measured ones.

Structural model:
```
data_Pm8Y2Sc3
_chemical_formula_sum 'Pm16 Y4 Sc6'
_space_group_name_H-M_alt 'C 1 2/m 1'
_space_group_IT_number 12
_space_group_name_Hall '-C 2y'
_cell_length_a 13.3393
_cell_length_b 11.4076
_cell_length_c 5.9608
_cell_angle_alpha 90.00
_cell_angle_beta 112.57
_cell_angle_gamma 90.00
loop_
_atom_site_label
_atom_site_type_symbol
_atom_site_fract_x
_atom_site_fract_y
_atom_site_fract_z
_atom_site_occupancy
Pm1 Pm 0.0851 0.0000 0.2535 1
Pm2 Pm 0.1366 0.5000 0.6156 1
Pm3 Pm 0.1535 0.2653 0.1452 1
Y1 Y 0.1835 0.0000 0.8208 1
Sc1 Sc 0.0000 0.2310 0.5000 1
Sc2 Sc 0.0000 0.5000 0.0000 1
```

The 10 most intense peaks (5 to 70 degrees two-theta), in order of rising 2θ:
d 3.961, rel. 16
d 3.204, rel. 16
d 3.080, rel. 19
d 2.976, rel. 52
d 2.849, rel. 86
d 2.841, rel. 100
d 2.732, rel. 25
d 2.262, rel. 20
d 1.664, rel. 15
d 1.645, rel. 19